Record 1
Diffraction record for Cs2ScIF6. The powder diffraction line list is theoretical, not measured: it uses a structure optimized by DFT (PBE) and Cu Kα (λ = 1.5418 Å).
Peak positions follow from Bragg's law for the DFT cell and can differ from measured ones.

Crystal structure
```
data_Cs2ScIF6
_cell_length_a 7.465
_cell_length_b 7.465
_cell_length_c 8.506
_cell_angle_alpha 90.00
_cell_angle_beta 90.00
_cell_angle_gamma 90.00
_space_group_name_H-M_alt 'I 4/m m m'
_space_group_IT_number 139
_space_group_name_Hall '-I 4 2'
loop_
_atom_site_label
_atom_site_type_symbol
_atom_site_fract_x
_atom_site_fract_y
_atom_site_fract_z
Cs1 Cs 0.000 0.500 0.250
Sc1 Sc 0.000 0.000 0.000
I1 I 0.000 0.000 0.500
F1 F 0.000 0.000 0.250
F2 F 0.189 0.189 0.000
```

Principal peaks in the range 15° ≤ 2θ ≤ 90°, by angle:
- (2 0 0), 23.84 deg, d 3.732, I 719
- (1 1 2), 26.92 deg, d 3.312, I 1000
- (2 2 0), 33.97 deg, d 2.639, I 440
- (3 1 2), 43.87 deg, d 2.064, I 435
- (2 0 4), 49.32 deg, d 1.848, I 196
- (4 2 0), 55.01 deg, d 1.669, I 176
- (2 2 4), 55.49 deg, d 1.656, I 200
- (4 2 4), 71.91 deg, d 1.313, I 157

=====

Record 2
Diffraction record for YPI2N. The powder diffraction line list is theoretical, not measured: it uses a structure optimized by DFT (PBE) and Cu Kα (λ = 1.5418 Å).
Peak positions follow from Bragg's law for the DFT cell and can differ from measured ones.

Crystal structure
```
data_YPI2N
_cell_length_a 5.920
_cell_length_b 5.920
_cell_length_c 3.506
_cell_angle_alpha 90.00
_cell_angle_beta 90.00
_cell_angle_gamma 90.00
_space_group_name_H-M_alt 'P 4/m m m'
_space_group_IT_number 123
_space_group_name_Hall '-P 4 2'
loop_
_atom_site_label
_atom_site_type_symbol
_atom_site_fract_x
_atom_site_fract_y
_atom_site_fract_z
Y1 Y 0.000 0.000 0.000
P1 P 0.500 0.500 0.500
I1 I 0.000 0.500 0.500
N1 N 0.500 0.500 0.000
```

Principal peaks in the range 15° ≤ 2θ ≤ 90°, by angle:
- (1 1 0), 21.23 deg, d 4.186, I 185
- (2 0 0), 30.19 deg, d 2.960, I 929
- (1 1 1), 33.34 deg, d 2.688, I 1000
- (2 0 1), 39.86 deg, d 2.262, I 181
- (2 2 0), 43.23 deg, d 2.093, I 336
- (3 1 1), 55.66 deg, d 1.651, I 446
- (2 0 2), 61.48 deg, d 1.508, I 229
- (2 2 2), 70.01 deg, d 1.344, I 155

=====

Record 3
Diffraction record for Pr2Cu3Pt. The powder diffraction line list is theoretical, not measured: it uses a structure optimized by DFT (PBE) and Cu Kα (λ = 1.5418 Å).
Peak positions follow from Bragg's law for the DFT cell and can differ from measured ones.

Crystal structure
```
data_Pr2Cu3Pt
_cell_length_a 3.866
_cell_length_b 4.311
_cell_length_c 7.543
_cell_angle_alpha 90.00
_cell_angle_beta 90.00
_cell_angle_gamma 90.00
_space_group_name_H-M_alt 'P m m 2'
_space_group_IT_number 25
_space_group_name_Hall 'P 2 -2'
loop_
_atom_site_label
_atom_site_type_symbol
_atom_site_fract_x
_atom_site_fract_y
_atom_site_fract_z
Pr1 Pr 0.000 0.000 0.000
Pr2 Pr 0.000 0.500 0.487
Cu1 Cu 0.500 0.000 0.670
Cu2 Cu 0.500 0.500 0.148
Cu3 Cu 0.500 0.500 0.825
Pt1 Pt 0.500 0.000 0.330
```

Principal peaks in the range 15° ≤ 2θ ≤ 90°, by angle:
- (1 0 2), 33.18 deg, d 2.700, I 486
- (1 1 1), 33.32 deg, d 2.689, I 1000
- (0 1 3), 41.58 deg, d 2.172, I 503
- (0 2 0), 41.92 deg, d 2.155, I 250
- (2 0 0), 47.01 deg, d 1.933, I 179
- (1 2 2), 54.48 deg, d 1.684, I 235
- (2 1 3), 64.54 deg, d 1.444, I 267
- (2 2 0), 64.79 deg, d 1.439, I 134

=====

Record 4
Diffraction record for Hf6Co5. The powder diffraction line list is theoretical, not measured: it uses a structure optimized by DFT (PBE) and Cu Kα (λ = 1.5418 Å).
Peak positions follow from Bragg's law for the DFT cell and can differ from measured ones.

Crystal structure
```
data_Hf6Co5
_cell_length_a 4.407
_cell_length_b 6.292
_cell_length_c 13.226
_cell_angle_alpha 90.00
_cell_angle_beta 90.00
_cell_angle_gamma 90.00
_space_group_name_H-M_alt 'I m m m'
_space_group_IT_number 71
_space_group_name_Hall '-I 2 2'
loop_
_atom_site_label
_atom_site_type_symbol
_atom_site_fract_x
_atom_site_fract_y
_atom_site_fract_z
Hf1 Hf 0.000 0.246 0.000
Hf2 Hf 0.000 0.253 0.336
Co1 Co 0.000 0.000 0.172
Co2 Co 0.000 0.000 0.500
Co3 Co 0.000 0.500 0.168
```

Principal peaks in the range 15° ≤ 2θ ≤ 90°, by angle:
- (0 2 0), 28.37 deg, d 3.146, I 192
- (1 0 3), 28.64 deg, d 3.117, I 376
- (1 2 3), 40.75 deg, d 2.214, I 1000
- (2 0 0), 40.95 deg, d 2.204, I 493
- (2 2 0), 50.56 deg, d 1.805, I 166
- (2 0 6), 59.29 deg, d 1.558, I 163
- (2 4 0), 74.04 deg, d 1.280, I 168
- (3 2 3), 74.44 deg, d 1.274, I 330

=====

Record 5
Diffraction record for Ho6Tl5Au. The powder diffraction line list is theoretical, not measured: it uses a structure optimized by DFT (PBE) and Cu Kα (λ = 1.5418 Å).
Peak positions follow from Bragg's law for the DFT cell and can differ from measured ones.

Crystal structure
```
data_Ho6Tl5Au
_cell_length_a 5.298
_cell_length_b 15.891
_cell_length_c 7.524
_cell_angle_alpha 90.00
_cell_angle_beta 90.00
_cell_angle_gamma 90.00
_space_group_name_H-M_alt 'C m m m'
_space_group_IT_number 65
_space_group_name_Hall '-C 2 2'
loop_
_atom_site_label
_atom_site_type_symbol
_atom_site_fract_x
_atom_site_fract_y
_atom_site_fract_z
Ho1 Ho 0.000 0.000 0.240
Ho2 Ho 0.000 0.338 0.245
Tl1 Tl 0.000 0.167 0.000
Tl2 Tl 0.000 0.169 0.500
Tl3 Tl 0.000 0.500 0.500
Au1 Au 0.000 0.500 0.000
```

Principal peaks in the range 15° ≤ 2θ ≤ 90°, by angle:
- (2 0 0), 33.79 deg, d 2.653, I 1000
- (0 0 4), 48.39 deg, d 1.881, I 61
- (2 6 0), 48.61 deg, d 1.873, I 121
- (2 0 4), 60.35 deg, d 1.534, I 126
- (3 3 2), 60.50 deg, d 1.530, I 251
- (2 6 4), 71.02 deg, d 1.327, I 78
- (1 3 6), 80.82 deg, d 1.189, I 55
- (4 6 0), 81.18 deg, d 1.185, I 109

=====

Record 6
Diffraction record for RbFe2BW. The powder diffraction line list is theoretical, not measured: it uses a structure optimized by DFT (PBE) and Cu Kα (λ = 1.5418 Å).
Peak positions follow from Bragg's law for the DFT cell and can differ from measured ones.

Crystal structure
```
data_RbFe2BW
_cell_length_a 4.149
_cell_length_b 4.149
_cell_length_c 4.345
_cell_angle_alpha 90.00
_cell_angle_beta 90.00
_cell_angle_gamma 90.00
_space_group_name_H-M_alt 'P 4/m m m'
_space_group_IT_number 123
_space_group_name_Hall '-P 4 2'
loop_
_atom_site_label
_atom_site_type_symbol
_atom_site_fract_x
_atom_site_fract_y
_atom_site_fract_z
Rb1 Rb 0.000 0.000 0.000
Fe1 Fe 0.000 0.500 0.500
B1 B 0.500 0.500 0.500
W1 W 0.500 0.500 0.000
```

Principal peaks in the range 15° ≤ 2θ ≤ 90°, by angle:
- (0 0 1), 20.44 deg, d 4.345, I 145
- (1 0 0), 21.42 deg, d 4.149, I 148
- (1 1 0), 30.47 deg, d 2.934, I 144
- (1 1 1), 36.97 deg, d 2.431, I 1000
- (0 0 2), 41.57 deg, d 2.172, I 194
- (2 0 0), 43.63 deg, d 2.075, I 337
- (2 0 2), 61.84 deg, d 1.500, I 232
- (3 1 1), 75.73 deg, d 1.256, I 237

=====

Record 7
Diffraction record for MnNbCoHSe. The powder diffraction line list is theoretical, not measured: it uses a structure optimized by DFT (PBE) and Cu Kα (λ = 1.5418 Å).
Peak positions follow from Bragg's law for the DFT cell and can differ from measured ones.

Crystal structure
```
data_MnNbCoHSe
_cell_length_a 3.449
_cell_length_b 3.167
_cell_length_c 11.315
_cell_angle_alpha 90.00
_cell_angle_beta 90.00
_cell_angle_gamma 90.00
_space_group_name_H-M_alt 'A m m 2'
_space_group_IT_number 38
_space_group_name_Hall 'A 2 -2'
loop_
_atom_site_label
_atom_site_type_symbol
_atom_site_fract_x
_atom_site_fract_y
_atom_site_fract_z
Mn1 Mn 0.000 0.000 0.000
Nb1 Nb 0.500 0.000 0.623
Co1 Co 0.500 0.000 0.361
H1 H 0.500 0.000 0.020
Se1 Se 0.000 0.000 0.797
```

Principal peaks in the range 15° ≤ 2θ ≤ 90°, by angle:
- (0 1 1), 29.28 deg, d 3.050, I 293
- (0 1 3), 37.06 deg, d 2.426, I 212
- (1 1 1), 39.44 deg, d 2.285, I 1000
- (1 0 4), 41.27 deg, d 2.187, I 687
- (1 1 3), 45.73 deg, d 1.984, I 411
- (0 1 5), 49.50 deg, d 1.841, I 346
- (2 0 0), 53.10 deg, d 1.725, I 232
- (1 2 4), 73.88 deg, d 1.283, I 226

=====

Record 8
Diffraction record for Ba3NpSe5. The powder diffraction line list is theoretical, not measured: it uses a structure optimized by DFT (PBE) and Cu Kα (λ = 1.5418 Å).
Peak positions follow from Bragg's law for the DFT cell and can differ from measured ones.

Crystal structure
```
data_Ba3NpSe5
_cell_length_a 8.866
_cell_length_b 8.866
_cell_length_c 15.745
_cell_angle_alpha 90.00
_cell_angle_beta 90.00
_cell_angle_gamma 90.00
_space_group_name_H-M_alt 'I 4/m c m'
_space_group_IT_number 140
_space_group_name_Hall '-I 4 2c'
loop_
_atom_site_label
_atom_site_type_symbol
_atom_site_fract_x
_atom_site_fract_y
_atom_site_fract_z
Ba1 Ba 0.000 0.000 0.250
Ba2 Ba 0.158 0.342 0.000
Np1 Np 0.000 0.500 0.250
Se1 Se 0.000 0.000 0.000
Se2 Se 0.165 0.335 0.356
```

Principal peaks in the range 15° ≤ 2θ ≤ 90°, by angle:
- (2 0 2), 23.03 deg, d 3.863, I 562
- (2 1 3), 28.21 deg, d 3.164, I 1000
- (2 2 0), 28.48 deg, d 3.134, I 424
- (2 0 4), 30.37 deg, d 2.943, I 514
- (3 1 2), 33.94 deg, d 2.641, I 274
- (2 0 6), 39.92 deg, d 2.258, I 265
- (4 2 0), 45.77 deg, d 1.982, I 265
- (3 1 6), 47.46 deg, d 1.916, I 248